# Na3N
Theoretical X-ray powder pattern, Cu Kα (weighted mean of Kα1 and Kα2). Input: a PBE-relaxed structure.
Neutral-atom scattering factors, no anomalous dispersion.

Cell and atoms:
Cell lengths 4.4499, 4.4499, 4.4499 Å; angles 60.00, 60.00, 60.00 degrees
Sites, in units of the cell vectors:
1 Na 0.0000 0.0000 0.0000
2 Na 0.2500 0.2500 0.2500
3 Na 0.7500 0.7500 0.7500
4 N 0.5000 0.5000 0.5000

Main lines, low angle first (2θ = 10–80°):
24.50 deg, rel. 3.3; 28.36 deg, rel. 1.9; 40.55 deg, rel. 100.0; 47.94 deg, rel. 2.5; 58.68 deg, rel. 14.5; 73.76 deg, rel. 25.6

=====

# Ta8Cu3S24
Theoretical X-ray powder pattern, Cu Kα (weighted mean of Kα1 and Kα2). Input: a PBE-relaxed structure.
Neutral-atom scattering factors, no anomalous dispersion.

Cell and atoms:
Cell lengths 9.6090, 3.4298, 21.7918 Å; angles 90.00, 90.69, 90.00 degrees
Sites, in units of the cell vectors:
1 Ta 0.0000 0.0000 0.0000
2 Ta 0.1059 0.5000 0.3638
3 Ta 0.2213 0.5000 0.1395
4 Ta 0.3868 0.0000 0.6396
5 Ta 0.5001 0.0000 0.8639
6 Ta 0.6093 0.5000 0.4975
7 Ta 0.7209 0.5000 0.7238
8 Ta 0.8881 0.0000 0.2247
9 Cu 0.2348 0.0000 0.4503
10 Cu 0.3726 0.5000 0.9502
11 Cu 0.8727 0.5000 0.9137
12 S 0.0268 0.0000 0.8954
13 S 0.0328 0.0000 0.1227
14 S 0.0770 0.5000 0.2395
15 S 0.0799 0.5000 0.4682
16 S 0.1917 0.5000 0.0198
17 S 0.2021 0.5000 0.6091
18 S 0.2507 0.5000 0.7014
19 S 0.2834 0.0000 0.3472
20 S 0.3216 0.5000 0.8470
21 S 0.3584 0.0000 0.2020
22 S 0.4049 0.0000 0.1099
23 S 0.4166 0.0000 0.5208
24 S 0.5275 0.0000 0.9688
25 S 0.5335 0.0000 0.7413
26 S 0.5735 0.5000 0.6243
27 S 0.5818 0.5000 0.3981
28 S 0.6911 0.5000 0.8439
29 S 0.7039 0.5000 0.2550
30 S 0.7500 0.5000 0.1627
31 S 0.7776 0.0000 0.5176
32 S 0.8221 0.5000 0.0162
33 S 0.8560 0.0000 0.6614
34 S 0.9048 0.0000 0.7543
35 S 0.9200 0.0000 0.3419

Main lines, low angle first (2θ = 10–80°):
10.05 deg, rel. 100.0; 18.63 deg, rel. 16.1; 18.83 deg, rel. 22.3; 32.08 deg, rel. 34.6; 32.29 deg, rel. 29.2; 32.36 deg, rel. 17.1